Entry 1:
Computed powder XRD pattern
Compound: Ac6Pr3Y2
Radiation: Cu Ka
Structure: the GGA-PBE geometry in Alexandria
No peak broadening, texture or thermal motion is included.

```
Ac6Pr3Y2
1.0
6.658 0.000 0.000
-2.201 8.293 0.000
-1.117 -2.932 8.001
Ac Pr Y
6 3 2
direct
0.053 0.181 0.404
0.136 0.549 0.231
0.322 0.267 0.869
0.678 0.733 0.131
0.864 0.451 0.769
0.947 0.819 0.596
0.407 0.643 0.684
0.500 0.000 0.500
0.593 0.357 0.316
0.232 0.913 0.046
0.768 0.087 0.954
```

Largest 10 diffraction maxima, by intensity, 2θ from 10° to 90°:
2θ = 28.42°, intensity 100.0
2θ = 32.95°, intensity 68.0
2θ = 47.25°, intensity 33.5
2θ = 28.50°, intensity 33.0
2θ = 56.13°, intensity 30.1
2θ = 56.03°, intensity 20.3
2θ = 47.39°, intensity 16.6
2θ = 78.68°, intensity 11.3
2θ = 56.23°, intensity 10.0
2θ = 58.85°, intensity 8.8

---

Entry 2:
Computed powder XRD pattern
Compound: Ac4Pr2Y
Radiation: Cu Ka
Structure: the GGA-PBE geometry in Alexandria
No peak broadening, texture or thermal motion is included.

```
Ac4Pr2Y
1.0
0.000 10.328 6.384
4.462 0.000 6.384
4.462 10.328 0.000
Ac Pr Y
8 4 2
direct
0.023 0.447 0.794
0.054 0.946 0.292
0.447 0.023 0.736
0.456 0.514 0.227
0.514 0.456 0.803
0.542 0.958 0.304
0.946 0.054 0.708
0.958 0.542 0.196
0.301 0.671 0.656
0.594 0.878 0.949
0.671 0.301 0.372
0.878 0.594 0.579
0.000 0.000 0.000
0.250 0.250 0.250
```

Largest 10 diffraction maxima, by intensity, 2θ from 10° to 90°:
2θ = 25.84°, intensity 100.0
2θ = 29.48°, intensity 95.8
2θ = 26.40°, intensity 74.5
2θ = 27.95°, intensity 65.8
2θ = 38.83°, intensity 52.9
2θ = 50.76°, intensity 28.8
2θ = 50.82°, intensity 25.2
2θ = 49.85°, intensity 24.8
2θ = 40.41°, intensity 23.1
2θ = 66.50°, intensity 22.3

---

Entry 3:
Computed powder XRD pattern
Compound: AcPr3Y2
Radiation: Cu Ka
Structure: the GGA-PBE geometry in Alexandria
No peak broadening, texture or thermal motion is included.

```
AcPr3Y2
1.0
5.238 -3.731 0.000
5.238 3.731 0.000
-5.238 0.000 11.128
Ac Pr Y
2 6 4
direct
0.124 0.876 0.750
0.876 0.124 0.250
0.209 0.460 0.919
0.375 0.625 0.250
0.460 0.209 0.419
0.540 0.791 0.581
0.625 0.375 0.750
0.791 0.540 0.081
0.041 0.292 0.582
0.292 0.041 0.082
0.708 0.959 0.918
0.959 0.708 0.418
```

Largest 10 diffraction maxima, by intensity, 2θ from 10° to 90°:
2θ = 29.39°, intensity 100.0
2θ = 29.51°, intensity 98.9
2θ = 34.08°, intensity 67.6
2θ = 49.09°, intensity 60.4
2θ = 58.31°, intensity 43.2
2θ = 34.24°, intensity 33.4
2θ = 58.08°, intensity 29.2
2θ = 79.68°, intensity 17.4
2θ = 58.42°, intensity 14.3
2θ = 60.97°, intensity 13.7

---

Entry 4:
Computed powder XRD pattern
Compound: Ac2PrY3
Radiation: Cu Ka
Structure: the GGA-PBE geometry in Alexandria
No peak broadening, texture or thermal motion is included.

```
Ac2PrY3
1.0
8.331 -3.759 0.000
8.331 3.759 0.000
-1.679 0.000 7.288
Ac Pr Y
4 2 6
direct
0.178 0.185 0.090
0.185 0.178 0.590
0.815 0.822 0.410
0.822 0.815 0.910
0.219 0.781 0.250
0.781 0.219 0.750
0.214 0.786 0.750
0.378 0.381 0.439
0.381 0.378 0.939
0.619 0.622 0.061
0.622 0.619 0.561
0.786 0.214 0.250
```

Largest 10 diffraction maxima, by intensity, 2θ from 10° to 90°:
2θ = 29.02°, intensity 100.0
2θ = 34.27°, intensity 60.3
2θ = 26.12°, intensity 51.7
2θ = 29.97°, intensity 47.9
2θ = 28.85°, intensity 39.7
2θ = 32.46°, intensity 26.9
2θ = 52.74°, intensity 26.4
2θ = 20.22°, intensity 25.5
2θ = 57.46°, intensity 24.0
2θ = 23.67°, intensity 22.9

---

Entry 5:
Computed powder XRD pattern
Compound: Ac2Pr7Y
Radiation: Cu Ka
Structure: the GGA-PBE geometry in Alexandria
No peak broadening, texture or thermal motion is included.

```
Ac2Pr7Y
1.0
6.487 0.000 0.000
-1.099 6.415 0.000
-3.222 -2.725 9.007
Ac Pr Y
2 7 1
direct
0.202 0.103 0.204
0.798 0.897 0.796
0.000 0.500 0.000
0.197 0.594 0.697
0.400 0.702 0.400
0.402 0.203 0.898
0.598 0.797 0.102
0.600 0.298 0.600
0.803 0.406 0.303
0.000 0.000 0.500
```

Largest 10 diffraction maxima, by intensity, 2θ from 10° to 90°:
2θ = 29.08°, intensity 100.0
2θ = 33.78°, intensity 45.3
2θ = 29.21°, intensity 33.3
2θ = 57.58°, intensity 24.5
2θ = 33.66°, intensity 22.7
2θ = 48.34°, intensity 16.6
2θ = 48.49°, intensity 16.5
2θ = 48.57°, intensity 16.3
2θ = 57.47°, intensity 14.7
2θ = 57.36°, intensity 9.9

---

Entry 6:
Computed powder XRD pattern
Compound: Ac2Pr5Y2
Radiation: Cu Ka
Structure: the GGA-PBE geometry in Alexandria
No peak broadening, texture or thermal motion is included.

```
Ac2Pr5Y2
1.0
9.160 0.000 0.000
0.000 3.706 0.000
-2.370 0.000 9.948
Ac Pr Y
2 5 2
direct
0.021 0.000 0.184
0.979 0.000 0.816
0.000 0.500 0.500
0.325 0.500 0.044
0.356 0.000 0.709
0.644 0.000 0.291
0.675 0.500 0.956
0.337 0.500 0.391
0.663 0.500 0.609
```

Largest 10 diffraction maxima, by intensity, 2θ from 10° to 90°:
2θ = 30.08°, intensity 100.0
2θ = 29.62°, intensity 49.7
2θ = 31.35°, intensity 47.8
2θ = 30.87°, intensity 43.6
2θ = 28.33°, intensity 37.1
2θ = 46.10°, intensity 23.1
2θ = 58.46°, intensity 14.7
2θ = 59.20°, intensity 14.2
2θ = 58.73°, intensity 14.0
2θ = 39.83°, intensity 13.4